[1]
Structure and theoretical X-ray powder pattern of NaEuCl4 (a structure optimized by DFT (GGA-PBE); Cu Kα (λ = 1.5418 Å)).
Neutral-atom scattering factors, no anomalous dispersion.

Cell and atoms:
abc: 6.951 7.019 7.111
angles: 89.41 88.02 77.55
Positions (direct):
Na: 0.232 0.195 0.035
Na: 0.768 0.805 0.965
Eu: 0.212 0.695 0.449
Eu: 0.788 0.305 0.551
Cl: 0.047 0.503 0.746
Cl: 0.091 0.003 0.713
Cl: 0.392 0.798 0.130
Cl: 0.433 0.310 0.377
Cl: 0.567 0.690 0.623
Cl: 0.608 0.202 0.870
Cl: 0.909 0.997 0.287
Cl: 0.953 0.497 0.254

Peak list (10 most intense, 2θ = 10–90°, by angle)
Position (°2θ)  I_rel
12.5  100
16.3  41
18.0  32
20.3  57
20.8  54
28.8  29
29.2  45
30.4  36
36.4  44
41.5  36

[2]
Structure and theoretical X-ray powder pattern of EuClO (a structure optimized by DFT (GGA-PBE); Cu Kα (λ = 1.5418 Å)).
Neutral-atom scattering factors, no anomalous dispersion.

Cell and atoms:
abc: 4.030 4.030 6.812
angles: 90.00 90.00 90.00
Positions (direct):
Eu: 0.250 0.250 0.173
Eu: 0.750 0.750 0.827
Cl: 0.250 0.250 0.630
Cl: 0.750 0.750 0.370
O: 0.250 0.750 0.000
O: 0.750 0.250 0.000

Peak list (10 most intense, 2θ = 10–90°, by angle)
Position (°2θ)  I_rel
13.0  38
25.7  95
31.4  73
34.5  100
41.3  26
45.0  37
51.5  24
52.5  29
57.9  43
58.9  18

[3]
Structure and theoretical X-ray powder pattern of EuClO2 (a structure optimized by DFT (GGA-PBE); Cu Kα (λ = 1.5418 Å)).
Neutral-atom scattering factors, no anomalous dispersion.

Cell and atoms:
abc: 6.390 3.773 6.498
angles: 90.00 115.84 90.00
Positions (direct):
Eu: 0.189 0.250 0.379
Eu: 0.811 0.750 0.621
Cl: 0.256 0.750 0.053
Cl: 0.744 0.250 0.947
O: 0.048 0.250 0.656
O: 0.406 0.750 0.565
O: 0.594 0.250 0.435
O: 0.952 0.750 0.344

Peak list (10 most intense, 2θ = 10–90°, by angle)
Position (°2θ)  I_rel
15.1  100
16.2  34
26.0  55
27.5  36
28.1  34
28.3  46
28.8  100
39.0  57
47.4  38
49.4  34

[4]
Structure and theoretical X-ray powder pattern of Eu4Cl6O (a structure optimized by DFT (GGA-PBE); Cu Kα (λ = 1.5418 Å)).
Neutral-atom scattering factors, no anomalous dispersion.

Cell and atoms:
abc: 9.491 9.491 7.194
angles: 90.00 90.00 120.00
Positions (direct):
Eu: 0.197 0.394 0.000
Eu: 0.197 0.803 0.000
Eu: 0.333 0.667 0.433
Eu: 0.394 0.197 0.500
Eu: 0.606 0.803 0.000
Eu: 0.667 0.333 0.933
Eu: 0.803 0.197 0.500
Eu: 0.803 0.606 0.500
Cl: 0.068 0.534 0.714
Cl: 0.142 0.284 0.390
Cl: 0.142 0.858 0.390
Cl: 0.284 0.142 0.890
Cl: 0.466 0.534 0.714
Cl: 0.466 0.932 0.714
Cl: 0.534 0.068 0.214
Cl: 0.534 0.466 0.214
Cl: 0.716 0.858 0.390
Cl: 0.858 0.142 0.890
Cl: 0.858 0.716 0.890
Cl: 0.932 0.466 0.214
O: 0.333 0.667 0.106
O: 0.667 0.333 0.606

Peak list (10 most intense, 2θ = 10–90°, by angle)
Position (°2θ)  I_rel
10.8  27
21.6  30
24.8  31
25.0  100
31.4  29
33.1  48
35.0  41
37.9  40
38.3  21
43.7  29

[5]
Structure and theoretical X-ray powder pattern of Eu5P3ClO12 (a structure optimized by DFT (GGA-PBE); Cu Kα (λ = 1.5418 Å)).
Neutral-atom scattering factors, no anomalous dispersion.

Cell and atoms:
abc: 9.969 9.969 7.205
angles: 90.00 90.00 120.00
Positions (direct):
Eu: 0.009 0.254 0.250
Eu: 0.245 0.991 0.250
Eu: 0.254 0.245 0.750
Eu: 0.333 0.667 0.001
Eu: 0.333 0.667 0.499
Eu: 0.667 0.333 0.501
Eu: 0.667 0.333 0.999
Eu: 0.746 0.755 0.250
Eu: 0.755 0.009 0.750
Eu: 0.991 0.746 0.750
P: 0.035 0.407 0.750
P: 0.372 0.965 0.750
P: 0.407 0.372 0.250
P: 0.593 0.628 0.750
P: 0.628 0.035 0.250
P: 0.965 0.593 0.250
Cl: 0.000 0.000 0.000
Cl: 0.000 0.000 0.500
O: 0.092 0.358 0.575
O: 0.092 0.358 0.925
O: 0.118 0.588 0.750
O: 0.144 0.666 0.250
O: 0.266 0.908 0.575
O: 0.266 0.908 0.925
O: 0.334 0.479 0.250
O: 0.358 0.266 0.075
O: 0.358 0.266 0.425
O: 0.412 0.530 0.750
O: 0.470 0.882 0.750
O: 0.479 0.144 0.750
O: 0.521 0.856 0.250
O: 0.530 0.118 0.250
O: 0.588 0.470 0.250
O: 0.642 0.734 0.575
O: 0.642 0.734 0.925
O: 0.666 0.521 0.750
O: 0.734 0.092 0.075
O: 0.734 0.092 0.425
O: 0.856 0.334 0.750
O: 0.882 0.412 0.250
O: 0.908 0.642 0.075
O: 0.908 0.642 0.425

Peak list (10 most intense, 2θ = 10–90°, by angle)
Position (°2θ)  I_rel
21.7  32
27.3  32
30.1  99
30.6  100
31.1  55
44.2  41
47.0  30
47.6  25
48.3  27
49.2  29

[6]
Structure and theoretical X-ray powder pattern of EuSeClO3 (a structure optimized by DFT (GGA-PBE); Cu Kα (λ = 1.5418 Å)).
Neutral-atom scattering factors, no anomalous dispersion.

Cell and atoms:
abc: 7.398 7.213 9.108
angles: 90.00 90.00 90.00
Positions (direct):
Eu: 0.111 0.250 0.041
Eu: 0.389 0.750 0.541
Eu: 0.611 0.250 0.459
Eu: 0.889 0.750 0.959
Se: 0.211 0.250 0.631
Se: 0.289 0.750 0.131
Se: 0.711 0.250 0.869
Se: 0.789 0.750 0.369
Cl: 0.050 0.750 0.680
Cl: 0.450 0.250 0.180
Cl: 0.550 0.750 0.820
Cl: 0.950 0.250 0.320
O: 0.146 0.575 0.068
O: 0.146 0.925 0.068
O: 0.246 0.750 0.316
O: 0.254 0.250 0.816
O: 0.354 0.075 0.568
O: 0.354 0.425 0.568
O: 0.646 0.575 0.432
O: 0.646 0.925 0.432
O: 0.746 0.750 0.184
O: 0.754 0.250 0.684
O: 0.854 0.075 0.932
O: 0.854 0.425 0.932

Peak list (10 most intense, 2θ = 10–90°, by angle)
Position (°2θ)  I_rel
15.4  90
19.5  31
22.9  69
24.7  100
27.1  49
28.8  41
33.6  45
33.9  29
39.9  45
40.7  33

[7]
Structure and theoretical X-ray powder pattern of EuTiClO3 (a structure optimized by DFT (GGA-PBE); Cu Kα (λ = 1.5418 Å)).
Neutral-atom scattering factors, no anomalous dispersion.

Cell and atoms:
abc: 5.308 5.308 10.298
angles: 105.31 105.31 43.44
Positions (direct):
Eu: 0.221 0.221 0.202
Eu: 0.779 0.779 0.798
Ti: 0.381 0.381 0.565
Ti: 0.619 0.619 0.435
Cl: 0.112 0.112 0.903
Cl: 0.888 0.888 0.097
O: 0.167 0.167 0.440
O: 0.351 0.351 0.738
O: 0.424 0.424 0.381
O: 0.576 0.576 0.619
O: 0.649 0.649 0.262
O: 0.833 0.833 0.560

Peak list (10 most intense, 2θ = 10–90°, by angle)
Position (°2θ)  I_rel
18.0  22
18.8  56
23.1  20
25.2  100
27.1  30
29.6  25
34.7  28
35.6  50
35.9  24
46.2  23

[8]
Structure and theoretical X-ray powder pattern of Eu2PCl (a structure optimized by DFT (GGA-PBE); Cu Kα (λ = 1.5418 Å)).
Neutral-atom scattering factors, no anomalous dispersion.

Cell and atoms:
abc: 4.248 4.248 5.902
angles: 90.00 90.00 90.00
Positions (direct):
Eu: 0.000 0.000 0.000
Eu: 0.500 0.500 0.500
P: 0.000 0.000 0.500
Cl: 0.500 0.500 0.000

Peak list (10 most intense, 2θ = 10–90°, by angle)
Position (°2θ)  I_rel
25.8  100
29.7  89
30.3  42
42.6  33
43.0  64
50.5  35
51.2  17
53.1  34
70.0  15
78.2  22